For Pr5NdP6, a structure optimized by DFT (GGA-PBE) gives the theoretical X-ray powder pattern in this record (Cu Kα (λ = 1.5418 Å)).
Kinematic intensities with the Lorentz-polarization factor, no thermal factor.

Top 8 peaks for 2θ from 10° to 80°, most intense first:
30.1°, I = 100.0; 26.0°, I = 78.0; 43.1°, I = 73.6; 51.0°, I = 38.9; 71.0°, I = 33.0; 53.5°, I = 25.9; 79.0°, I = 24.7; 68.9°, I = 15.7

Atomic structure:
abc: 7.2725 7.2725 7.2736
angles: 99.61 99.61 119.99
Positions (direct):
Pr 0.0000 0.0000 0.0000
Pr 0.1666 0.8334 0.5000
Pr 0.3332 0.6668 0.0000
Pr 0.6668 0.3332 0.0000
Pr 0.8334 0.1666 0.5000
Nd 0.5000 0.5000 0.5000
P 0.0848 0.4170 0.2508
P 0.2509 0.2509 0.7494
P 0.4170 0.0848 0.2508
P 0.5830 0.9152 0.7492
P 0.7491 0.7491 0.2506
P 0.9152 0.5830 0.7492